Pr3Dy4Er4: theoretical X-ray diffraction stick pattern (Cu Kα), based on DFT lattice parameters and positions (GGA-PBE).

Atomic structure:
Cell: 3.580 5.042 19.925 Å, 97.25 95.14 90.00°
Space group P-1 (No. 2)
Asymmetric unit:
Pr 0.000 0.000 0.000 x1
Pr 0.363 0.363 0.726 x2
Dy 0.182 0.183 0.367 x2
Dy 0.454 0.455 0.907 x2
Er 0.092 0.090 0.182 x2
Er 0.272 0.272 0.544 x2

The 10 most intense peaks (10 to 90 degrees two-theta), low angle first:
(1 1 -1), d 2.919, I = 100
(1 0 5), d 2.531, I = 34
(0 2 -1), d 2.521, I = 17
(2 0 -1), d 1.790, I = 12
(1 2 4), d 1.786, I = 24
(2 1 4), d 1.526, I = 29
(1 3 -2), d 1.521, I = 14
(2 2 -2), d 1.459, I = 12
(2 3 3), d 1.159, I = 12
(3 0 4), d 1.132, I = 8